# 1
Calculated XRD peak list
Compound: Pr6Mg2Cu
Radiation: λ = 1.5418 Å (Cu Kα)
Structure: a cell relaxed with PBE
Intensities are scaled so that the largest is 100.

The 8 most intense peaks (10 to 90 degrees two-theta), by angle:
27.49 deg, d = 3.245 Å, intensity 100, hkl 0 2 2; 28.02 deg, d = 3.185 Å, intensity 56, hkl 1 2 -2; 29.11 deg, d = 3.067 Å, intensity 64, hkl 1 2 1; 29.91 deg, d = 2.988 Å, intensity 92, hkl 2 1 -2; 31.28 deg, d = 2.859 Å, intensity 52, hkl 2 1 0; 32.57 deg, d = 2.749 Å, intensity 45, hkl 1 2 -3; 34.16 deg, d = 2.625 Å, intensity 80, hkl 0 0 4; 35.50 deg, d = 2.529 Å, intensity 48, hkl 1 3 -1

Structure:
Lattice parameters (Å, degrees): 6.5689 8.2565 11.3148 90.00 111.88 90.00
Space group P2_1/c (No. 14)
Inequivalent atoms, fractional coordinates:
Pr  0.1035  0.0456  0.2507 [4 per cell]
Pr  0.1545  0.7102  0.0369 [4 per cell]
Pr  0.3735  0.1564  0.0155 [4 per cell]
Mg  0.3876  0.0895  0.7280 [4 per cell]
Cu  0.5000  0.0000  0.5000 [2 per cell]



# 2
Calculated XRD peak list
Compound: Pr2MgCu3
Radiation: λ = 1.5418 Å (Cu Kα)
Structure: a cell relaxed with PBE
Intensities are scaled so that the largest is 100.

The 8 most intense peaks (10 to 90 degrees two-theta), by angle:
22.69 deg, d = 3.919 Å, intensity 23, hkl 0 2 2; 33.34 deg, d = 2.688 Å, intensity 100, hkl 2 0 4; 39.73 deg, d = 2.269 Å, intensity 17, hkl 0 4 0; 39.90 deg, d = 2.259 Å, intensity 34, hkl 0 2 6; 49.35 deg, d = 1.846 Å, intensity 9, hkl 4 0 0; 52.84 deg, d = 1.733 Å, intensity 18, hkl 2 4 4; 53.02 deg, d = 1.727 Å, intensity 9, hkl 2 0 8; 65.26 deg, d = 1.430 Å, intensity 15, hkl 4 2 6

Structure:
Lattice parameters (Å, degrees): 7.3859 9.0746 15.6306 90.00 90.00 90.00
Space group Fmmm (No. 69)
Inequivalent atoms, fractional coordinates:
Pr  0.2427  0.0000  0.0000 [8 per cell]
Pr  0.2500  0.2500  0.2500 [8 per cell]
Mg  0.0000  0.0000  0.3331 [8 per cell]
Cu  0.0000  0.0000  0.1626 [8 per cell]
Cu  0.0000  0.2456  0.0815 [16 per cell]



# 3
Calculated XRD peak list
Compound: Pr3MgCu3
Radiation: λ = 1.5418 Å (Cu Kα)
Structure: a cell relaxed with PBE
Intensities are scaled so that the largest is 100.

The 8 most intense peaks (10 to 90 degrees two-theta), by angle:
24.97 deg, d = 3.567 Å, intensity 51, hkl 1 1 2; 28.72 deg, d = 3.109 Å, intensity 68, hkl 1 1 3; 32.60 deg, d = 2.747 Å, intensity 98, hkl 1 3 0; 33.31 deg, d = 2.690 Å, intensity 100, hkl 1 1 4; 37.88 deg, d = 2.375 Å, intensity 96, hkl 1 3 3; 38.07 deg, d = 2.364 Å, intensity 39, hkl 0 0 6; 40.13 deg, d = 2.247 Å, intensity 59, hkl 2 0 0; 56.49 deg, d = 1.629 Å, intensity 51, hkl 2 0 6

Structure:
Lattice parameters (Å, degrees): 4.4943 10.4128 14.1840 90.00 90.00 90.00
Space group Cmcm (No. 63)
Inequivalent atoms, fractional coordinates:
Pr  0.0000  0.0182  0.2500 [4 per cell]
Pr  0.0000  0.3013  0.1046 [8 per cell]
Mg  0.0000  0.0000  0.0000 [4 per cell]
Cu  0.0000  0.2758  0.7500 [4 per cell]
Cu  0.0000  0.4062  0.5988 [8 per cell]



# 4
Calculated XRD peak list
Compound: PrMg6Cu2
Radiation: λ = 1.5418 Å (Cu Kα)
Structure: a cell relaxed with PBE
Intensities are scaled so that the largest is 100.

The 8 most intense peaks (10 to 90 degrees two-theta), by angle:
20.13 deg, d = 4.412 Å, intensity 34, hkl 0 2 0; 21.26 deg, d = 4.180 Å, intensity 100, hkl 1 1 -1; 29.12 deg, d = 3.067 Å, intensity 27, hkl 2 2 -1; 29.33 deg, d = 3.045 Å, intensity 50, hkl 3 1 0; 35.92 deg, d = 2.500 Å, intensity 50, hkl 1 3 -1; 37.91 deg, d = 2.373 Å, intensity 35, hkl 2 0 -2; 39.30 deg, d = 2.293 Å, intensity 33, hkl 2 2 1; 39.41 deg, d = 2.286 Å, intensity 33, hkl 4 2 -1

Structure:
Lattice parameters (Å, degrees): 10.8110 8.8230 4.7467 90.00 115.80 90.00
Space group C2/m (No. 12)
Inequivalent atoms, fractional coordinates:
Pr  0.0000  0.0000  0.0000 [2 per cell]
Mg  0.0000  0.3074  0.5000 [4 per cell]
Mg  0.2078  0.3357  0.2077 [8 per cell]
Cu  0.2092  0.5000  0.7090 [4 per cell]



# 5
Calculated XRD peak list
Compound: Pr2Mg2Cu15
Radiation: λ = 1.5418 Å (Cu Kα)
Structure: a cell relaxed with PBE
Intensities are scaled so that the largest is 100.

The 8 most intense peaks (10 to 90 degrees two-theta), by angle:
29.15 deg, d = 3.064 Å, intensity 26, hkl 1 1 3; 35.57 deg, d = 2.524 Å, intensity 28, hkl 3 0 0; 36.63 deg, d = 2.454 Å, intensity 25, hkl 0 2 4; 41.31 deg, d = 2.186 Å, intensity 48, hkl 2 2 0; 41.50 deg, d = 2.176 Å, intensity 100, hkl 0 3 3; 42.07 deg, d = 2.148 Å, intensity 34, hkl 0 0 6; 46.62 deg, d = 1.948 Å, intensity 32, hkl 2 2 3; 60.43 deg, d = 1.532 Å, intensity 16, hkl 2 2 6

Structure:
Lattice parameters (Å, degrees): 8.7426 8.7426 12.8877 90.00 90.00 120.00
Space group R-3m (No. 166, hexagonal axes)
Inequivalent atoms, fractional coordinates:
Pr  0.0000  0.0000  0.1475 [6 per cell]
Mg  0.0000  0.0000  0.3957 [6 per cell]
Cu  0.0000  0.2968  0.5000 [18 per cell]
Cu  0.0000  0.5000  0.0000 [9 per cell]
Cu  0.9996  0.4998  0.3460 [18 per cell]



# 6
Calculated XRD peak list
Compound: PrMg2CuSe4
Radiation: λ = 1.5418 Å (Cu Kα)
Structure: a cell relaxed with PBE
Intensities are scaled so that the largest is 100.

The 8 most intense peaks (10 to 90 degrees two-theta), by angle:
13.09 deg, d = 6.762 Å, intensity 48, hkl 0 0 2; 29.72 deg, d = 3.006 Å, intensity 47, hkl 0 2 4; 30.26 deg, d = 2.954 Å, intensity 31, hkl 0 4 2; 30.64 deg, d = 2.918 Å, intensity 31, hkl 1 1 3; 30.99 deg, d = 2.886 Å, intensity 73, hkl 1 3 1; 33.09 deg, d = 2.707 Å, intensity 100, hkl 1 3 2; 35.42 deg, d = 2.534 Å, intensity 22, hkl 1 1 4; 45.31 deg, d = 2.001 Å, intensity 32, hkl 2 0 0

Structure:
Lattice parameters (Å, degrees): 4.0026 13.1346 13.5240 90.00 90.00 90.00
Space group Cmcm (No. 63)
Inequivalent atoms, fractional coordinates:
Pr  0.0000  0.1221  0.2500 [4 per cell]
Mg  0.0000  0.3749  0.0603 [8 per cell]
Cu  0.0000  0.1514  0.7500 [4 per cell]
Se  0.0000  0.0000  0.0000 [4 per cell]
Se  0.0000  0.2742  0.6139 [8 per cell]
Se  0.0000  0.4526  0.2500 [4 per cell]



# 7
Calculated XRD peak list
Compound: PrMg2Cu2Si2
Radiation: λ = 1.5418 Å (Cu Kα)
Structure: a cell relaxed with PBE
Intensities are scaled so that the largest is 100.

The 8 most intense peaks (10 to 90 degrees two-theta), by angle:
10.67 deg, d = 8.289 Å, intensity 48, hkl 0 0 3; 25.39 deg, d = 3.508 Å, intensity 50, hkl 0 1 2; 30.34 deg, d = 2.946 Å, intensity 76, hkl 0 1 5; 35.22 deg, d = 2.548 Å, intensity 100, hkl 1 0 7; 42.84 deg, d = 2.111 Å, intensity 84, hkl 1 1 0; 56.62 deg, d = 1.626 Å, intensity 24, hkl 0 2 7; 62.84 deg, d = 1.479 Å, intensity 30, hkl 1 1 12; 73.53 deg, d = 1.288 Å, intensity 22, hkl 2 1 7

Structure:
Lattice parameters (Å, degrees): 4.2222 4.2222 24.8679 90.00 90.00 120.00
Space group R-3m (No. 166, hexagonal axes)
Inequivalent atoms, fractional coordinates:
Pr  0.0000  0.0000  0.0000 [3 per cell]
Mg  0.0000  0.0000  0.1347 [6 per cell]
Cu  0.0000  0.0000  0.4184 [6 per cell]
Si  0.0000  0.0000  0.2524 [6 per cell]



# 8
Calculated XRD peak list
Compound: PrMgCu2Si2
Radiation: λ = 1.5418 Å (Cu Kα)
Structure: a cell relaxed with PBE
Intensities are scaled so that the largest is 100.

The 8 most intense peaks (10 to 90 degrees two-theta), by angle:
27.82 deg, d = 3.207 Å, intensity 80, hkl 1 0 1; 35.69 deg, d = 2.516 Å, intensity 100, hkl 0 1 2; 38.43 deg, d = 2.342 Å, intensity 17, hkl 0 0 3; 43.49 deg, d = 2.081 Å, intensity 59, hkl 1 1 0; 52.41 deg, d = 1.746 Å, intensity 14, hkl 0 2 1; 57.47 deg, d = 1.604 Å, intensity 24, hkl 2 0 2; 59.41 deg, d = 1.556 Å, intensity 27, hkl 1 1 3; 74.74 deg, d = 1.270 Å, intensity 22, hkl 1 2 2

Structure:
Lattice parameters (Å, degrees): 4.1619 4.1619 7.0272 90.00 90.00 120.00
Space group P-3m1 (No. 164)
Inequivalent atoms, fractional coordinates:
Pr  0.0000  0.0000  0.0000 [1 per cell]
Mg  0.0000  0.0000  0.5000 [1 per cell]
Cu  0.3333  0.6667  0.6812 [2 per cell]
Si  0.3333  0.6667  0.2770 [2 per cell]



# 9
Calculated XRD peak list
Compound: PrYMgCu
Radiation: λ = 1.5418 Å (Cu Kα)
Structure: a cell relaxed with PBE
Intensities are scaled so that the largest is 100.

The 8 most intense peaks (10 to 90 degrees two-theta), by angle:
20.75 deg, d = 4.281 Å, intensity 9, hkl 1 1 1; 24.01 deg, d = 3.707 Å, intensity 22, hkl 2 0 0; 34.21 deg, d = 2.621 Å, intensity 100, hkl 2 2 0; 49.15 deg, d = 1.854 Å, intensity 18, hkl 4 0 0; 55.42 deg, d = 1.658 Å, intensity 9, hkl 4 2 0; 61.25 deg, d = 1.513 Å, intensity 36, hkl 4 2 2; 72.06 deg, d = 1.311 Å, intensity 11, hkl 4 4 0; 82.24 deg, d = 1.172 Å, intensity 15, hkl 6 2 0

Structure:
Lattice parameters (Å, degrees): 7.4142 7.4142 7.4142 90.00 90.00 90.00
Space group F-43m (No. 216)
Inequivalent atoms, fractional coordinates:
Pr  0.0000  0.0000  0.0000 [4 per cell]
Y  0.0000  0.0000  0.5000 [4 per cell]
Mg  0.2500  0.2500  0.7500 [4 per cell]
Cu  0.2500  0.2500  0.2500 [4 per cell]



# 10
Calculated XRD peak list
Compound: Mg2CuPt9
Radiation: λ = 1.5418 Å (Cu Kα)
Structure: a cell relaxed with PBE
Intensities are scaled so that the largest is 100.

The 8 most intense peaks (10 to 90 degrees two-theta), by angle:
22.54 deg, d = 3.945 Å, intensity 19, hkl 1 0 0; 32.09 deg, d = 2.789 Å, intensity 16, hkl 1 1 0; 39.57 deg, d = 2.278 Å, intensity 100, hkl 1 1 3; 46.01 deg, d = 1.972 Å, intensity 49, hkl 2 0 0; 51.82 deg, d = 1.764 Å, intensity 9, hkl 2 1 0; 67.11 deg, d = 1.395 Å, intensity 32, hkl 2 2 0; 80.80 deg, d = 1.189 Å, intensity 38, hkl 3 1 3; 85.21 deg, d = 1.139 Å, intensity 11, hkl 2 2 6

Structure:
Lattice parameters (Å, degrees): 3.9454 3.9454 11.8311 90.00 90.00 90.00
Space group P4/mmm (No. 123)
Inequivalent atoms, fractional coordinates:
Mg  0.0000  0.0000  0.1688 [2 per cell]
Cu  0.0000  0.0000  0.5000 [1 per cell]
Pt  0.0000  0.5000  0.0000 [2 per cell]
Pt  0.0000  0.5000  0.3371 [4 per cell]
Pt  0.5000  0.5000  0.1682 [2 per cell]
Pt  0.5000  0.5000  0.5000 [1 per cell]



# 11
Calculated XRD peak list
Compound: Mg6Cu5Pt
Radiation: λ = 1.5418 Å (Cu Kα)
Structure: a cell relaxed with PBE
Intensities are scaled so that the largest is 100.

The 8 most intense peaks (10 to 90 degrees two-theta), by angle:
27.73 deg, d = 3.218 Å, intensity 40, hkl 0 2 0; 28.25 deg, d = 3.159 Å, intensity 38, hkl 1 0 1; 28.91 deg, d = 3.088 Å, intensity 36, hkl 1 0 -2; 40.00 deg, d = 2.254 Å, intensity 100, hkl 1 2 1; 40.49 deg, d = 2.228 Å, intensity 95, hkl 1 2 -2; 40.86 deg, d = 2.208 Å, intensity 93, hkl 0 0 3; 50.10 deg, d = 1.821 Å, intensity 32, hkl 0 2 3; 72.72 deg, d = 1.300 Å, intensity 31, hkl 0 4 3

Structure:
Lattice parameters (Å, degrees): 4.4154 6.4351 6.9413 90.00 107.24 90.00
Space group P2/m (No. 10)
Inequivalent atoms, fractional coordinates:
Mg  0.0000  0.2500  0.0000 [2 per cell]
Mg  0.3369  0.2493  0.6670 [4 per cell]
Cu  0.1611  0.0000  0.3329 [2 per cell]
Cu  0.1627  0.5000  0.3367 [2 per cell]
Cu  0.5000  0.5000  0.0000 [1 per cell]
Pt  0.5000  0.0000  0.0000 [1 per cell]



# 12
Calculated XRD peak list
Compound: ThMg2Cu2Pt
Radiation: λ = 1.5418 Å (Cu Kα)
Structure: a cell relaxed with PBE
Intensities are scaled so that the largest is 100.

The 8 most intense peaks (10 to 90 degrees two-theta), by angle:
16.50 deg, d = 5.373 Å, intensity 29, hkl 0 0 2; 26.13 deg, d = 3.411 Å, intensity 100, hkl 1 1 0; 31.06 deg, d = 2.879 Å, intensity 60, hkl 1 1 2; 33.35 deg, d = 2.687 Å, intensity 36, hkl 0 0 4; 37.28 deg, d = 2.412 Å, intensity 58, hkl 2 0 0; 42.85 deg, d = 2.111 Å, intensity 50, hkl 1 1 4; 50.88 deg, d = 1.795 Å, intensity 44, hkl 2 0 4; 64.77 deg, d = 1.439 Å, intensity 26, hkl 2 2 4

Structure:
Lattice parameters (Å, degrees): 4.8234 4.8234 10.7465 90.00 90.00 90.00
Space group I4/mmm (No. 139)
Inequivalent atoms, fractional coordinates:
Th  0.0000  0.0000  0.0000 [2 per cell]
Mg  0.0000  0.5000  0.2500 [4 per cell]
Cu  0.0000  0.0000  0.2722 [4 per cell]
Pt  0.0000  0.0000  0.5000 [2 per cell]



# 13
Calculated XRD peak list
Compound: PuMg3Cu8
Radiation: λ = 1.5418 Å (Cu Kα)
Structure: a cell relaxed with PBE
Intensities are scaled so that the largest is 100.

The 8 most intense peaks (10 to 90 degrees two-theta), by angle:
10.75 deg, d = 8.231 Å, intensity 57, hkl 0 0 1; 20.27 deg, d = 4.382 Å, intensity 40, hkl 1 0 0; 22.99 deg, d = 3.868 Å, intensity 69, hkl 1 0 1; 29.78 deg, d = 3.000 Å, intensity 44, hkl 1 0 2; 38.72 deg, d = 2.325 Å, intensity 71, hkl 0 1 3; 41.92 deg, d = 2.155 Å, intensity 100, hkl 1 1 2; 42.71 deg, d = 2.117 Å, intensity 90, hkl 2 0 1; 48.93 deg, d = 1.862 Å, intensity 30, hkl 1 0 4

Structure:
Lattice parameters (Å, degrees): 5.0598 5.0598 8.2309 90.00 90.00 120.00
Space group P3m1 (No. 156)
Inequivalent atoms, fractional coordinates:
Pu  0.0000  0.0000  0.0000 [1 per cell]
Mg  0.0000  0.0000  0.3908 [1 per cell]
Mg  0.6667  0.3333  0.4940 [1 per cell]
Mg  0.6667  0.3333  0.8543 [1 per cell]
Cu  0.1664  0.3327  0.6814 [3 per cell]
Cu  0.3333  0.6667  0.4315 [1 per cell]
Cu  0.3333  0.6667  0.9354 [1 per cell]
Cu  0.5030  0.0060  0.1911 [3 per cell]